Entry 1:
Calculated powder XRD pattern
Compound: CaNb2O6
Radiation: copper Kα
Structure: a cell relaxed with PBE

The 12 most intense peaks (10 to 90 degrees two-theta), low angle first:
| d/Å | 2theta | I/Imax |
| --- | --- | --- |
| 7.590 | 11.66 | 15.5 |
| 3.853 | 23.08 | 18.7 |
| 3.818 | 23.30 | 11.3 |
| 3.111 | 28.69 | 100.0 |
| 2.972 | 30.07 | 10.8 |
| 2.637 | 34.00 | 9.4 |
| 1.926 | 47.18 | 9.3 |
| 1.845 | 49.40 | 10.3 |
| 1.826 | 49.95 | 13.9 |
| 1.809 | 50.43 | 16.2 |
| 1.551 | 59.62 | 13.3 |
| 1.512 | 61.31 | 11.9 |

Cell and atoms:
Lattice parameters (Å, degrees): 15.180 5.943 5.274 90.00 90.00 90.00
Element x y z (fractional)
Ca 0.000 0.214 0.250
Ca 0.000 0.786 0.750
Ca 0.500 0.286 0.750
Ca 0.500 0.714 0.250
Nb 0.165 0.315 0.710
Nb 0.165 0.685 0.210
Nb 0.335 0.185 0.210
Nb 0.335 0.815 0.710
Nb 0.665 0.185 0.290
Nb 0.665 0.815 0.790
Nb 0.835 0.315 0.790
Nb 0.835 0.685 0.290
O 0.087 0.105 0.601
O 0.087 0.895 0.101
O 0.101 0.425 0.007
O 0.101 0.575 0.507
O 0.244 0.359 0.386
O 0.244 0.641 0.886
O 0.256 0.141 0.886
O 0.256 0.859 0.386
O 0.399 0.075 0.507
O 0.399 0.925 0.007
O 0.413 0.395 0.101
O 0.413 0.605 0.601
O 0.587 0.395 0.399
O 0.587 0.605 0.899
O 0.601 0.075 0.993
O 0.601 0.925 0.493
O 0.744 0.141 0.614
O 0.744 0.859 0.114
O 0.756 0.359 0.114
O 0.756 0.641 0.614
O 0.899 0.425 0.493
O 0.899 0.575 0.993
O 0.913 0.105 0.899
O 0.913 0.895 0.399



Entry 2:
Calculated powder XRD pattern
Compound: Na2GeO9
Radiation: copper Kα
Structure: a cell relaxed with PBE

The 12 most intense peaks (10 to 90 degrees two-theta), low angle first:
| d/Å | 2theta | I/Imax |
| --- | --- | --- |
| 6.517 | 13.59 | 41.6 |
| 5.872 | 15.09 | 60.9 |
| 5.488 | 16.15 | 47.8 |
| 4.667 | 19.02 | 93.2 |
| 4.153 | 21.40 | 100.0 |
| 4.019 | 22.12 | 24.4 |
| 3.826 | 23.25 | 50.9 |
| 3.738 | 23.80 | 36.3 |
| 3.069 | 29.10 | 39.6 |
| 2.747 | 32.60 | 39.6 |
| 2.712 | 33.03 | 49.9 |
| 2.341 | 38.45 | 29.5 |

Cell and atoms:
Lattice parameters (Å, degrees): 6.538 5.106 11.537 90.00 94.52 90.00
Element x y z (fractional)
Na 0.125 0.000 0.393
Na 0.374 0.620 0.917
Na 0.626 0.120 0.083
Na 0.875 0.500 0.607
Ge 0.193 0.379 0.173
Ge 0.807 0.879 0.827
O 0.084 0.932 0.615
O 0.096 0.950 0.189
O 0.105 0.898 0.817
O 0.149 0.050 0.712
O 0.208 0.778 0.134
O 0.292 0.354 0.315
O 0.311 0.318 0.050
O 0.346 0.515 0.587
O 0.382 0.658 0.505
O 0.618 0.158 0.495
O 0.654 0.015 0.413
O 0.689 0.818 0.950
O 0.708 0.854 0.685
O 0.792 0.278 0.866
O 0.851 0.550 0.288
O 0.895 0.398 0.183
O 0.904 0.450 0.811
O 0.916 0.432 0.385



Entry 3:
Calculated powder XRD pattern
Compound: LiBiPd2O4
Radiation: copper Kα
Structure: a cell relaxed with PBE

The 12 most intense peaks (10 to 90 degrees two-theta), low angle first:
| d/Å | 2theta | I/Imax |
| --- | --- | --- |
| 4.962 | 17.88 | 41.1 |
| 3.303 | 26.99 | 35.6 |
| 2.750 | 32.56 | 100.0 |
| 2.481 | 36.21 | 27.4 |
| 2.219 | 40.66 | 13.4 |
| 2.021 | 44.84 | 10.1 |
| 1.984 | 45.74 | 17.5 |
| 1.754 | 52.14 | 16.7 |
| 1.652 | 55.64 | 30.5 |
| 1.479 | 62.83 | 30.4 |
| 1.375 | 68.20 | 11.8 |
| 1.360 | 69.05 | 11.4 |

Cell and atoms:
Lattice parameters (Å, degrees): 7.017 7.017 4.427 90.00 90.00 90.00
Element x y z (fractional)
Li 0.250 0.750 0.000
Li 0.750 0.250 0.000
Bi 0.250 0.250 0.007
Bi 0.750 0.750 0.993
Pd 0.000 0.000 0.500
Pd 0.000 0.500 0.500
Pd 0.500 0.000 0.500
Pd 0.500 0.500 0.500
O 0.024 0.750 0.265
O 0.250 0.524 0.735
O 0.250 0.976 0.735
O 0.476 0.750 0.265
O 0.524 0.250 0.735
O 0.750 0.024 0.265
O 0.750 0.476 0.265
O 0.976 0.250 0.735



Entry 4:
Calculated powder XRD pattern
Compound: UTeO5
Radiation: copper Kα
Structure: a cell relaxed with PBE

The 12 most intense peaks (10 to 90 degrees two-theta), low angle first:
| d/Å | 2theta | I/Imax |
| --- | --- | --- |
| 5.560 | 15.94 | 34.2 |
| 4.906 | 18.08 | 28.4 |
| 3.804 | 23.39 | 100.0 |
| 3.207 | 27.82 | 53.9 |
| 3.137 | 28.45 | 77.2 |
| 3.065 | 29.13 | 16.3 |
| 2.732 | 32.78 | 17.7 |
| 2.608 | 34.39 | 17.5 |
| 2.453 | 36.63 | 20.1 |
| 2.023 | 44.79 | 36.8 |
| 1.744 | 52.45 | 22.9 |
| 1.596 | 57.79 | 17.8 |

Cell and atoms:
Lattice parameters (Å, degrees): 10.431 5.560 7.853 90.00 90.00 90.00
Element x y z (fractional)
U 0.015 0.032 0.000
U 0.485 0.032 0.500
U 0.515 0.968 0.000
U 0.985 0.968 0.500
Te 0.249 0.357 0.245
Te 0.251 0.357 0.745
Te 0.749 0.643 0.245
Te 0.751 0.643 0.745
O 0.085 0.698 0.497
O 0.103 0.147 0.277
O 0.108 0.137 0.722
O 0.113 0.764 0.008
O 0.207 0.266 0.998
O 0.293 0.266 0.498
O 0.387 0.764 0.508
O 0.392 0.137 0.222
O 0.397 0.147 0.777
O 0.415 0.698 0.997
O 0.585 0.302 0.497
O 0.603 0.853 0.277
O 0.608 0.863 0.722
O 0.613 0.236 0.008
O 0.707 0.734 0.998
O 0.793 0.734 0.498
O 0.887 0.236 0.508
O 0.892 0.863 0.222
O 0.897 0.853 0.777
O 0.915 0.302 0.997



Entry 5:
Calculated powder XRD pattern
Compound: Hf3Cu4Si2
Radiation: copper Kα
Structure: a cell relaxed with PBE

The 12 most intense peaks (10 to 90 degrees two-theta), low angle first:
| d/Å | 2theta | I/Imax |
| --- | --- | --- |
| 3.969 | 22.40 | 25.0 |
| 3.149 | 28.34 | 25.4 |
| 2.727 | 32.84 | 26.3 |
| 2.467 | 36.42 | 100.0 |
| 2.248 | 40.12 | 81.0 |
| 2.061 | 43.92 | 37.1 |
| 1.985 | 45.71 | 26.6 |
| 1.513 | 61.28 | 17.0 |
| 1.430 | 65.26 | 22.2 |
| 1.413 | 66.10 | 31.8 |
| 1.203 | 79.70 | 16.3 |
| 1.193 | 80.49 | 16.5 |

Cell and atoms:
Lattice parameters (Å, degrees): 6.298 6.298 3.969 90.00 90.00 120.00
Element x y z (fractional)
Hf 0.000 0.586 0.000
Hf 0.414 0.414 0.000
Hf 0.586 0.000 0.000
Cu 0.000 0.000 0.000
Cu 0.000 0.248 0.500
Cu 0.248 0.000 0.500
Cu 0.752 0.752 0.500
Si 0.333 0.667 0.500
Si 0.667 0.333 0.500



Entry 6:
Calculated powder XRD pattern
Compound: Li2Al
Radiation: copper Kα
Structure: a cell relaxed with PBE

The 12 most intense peaks (10 to 90 degrees two-theta), low angle first:
| d/Å | 2theta | I/Imax |
| --- | --- | --- |
| 4.811 | 18.44 | 22.3 |
| 4.147 | 21.42 | 79.7 |
| 3.264 | 27.32 | 30.9 |
| 3.032 | 29.46 | 18.1 |
| 2.298 | 39.20 | 26.6 |
| 2.263 | 39.83 | 100.0 |
| 2.221 | 40.61 | 24.0 |
| 2.115 | 42.75 | 14.9 |
| 1.958 | 46.37 | 18.3 |
| 1.597 | 57.72 | 17.0 |
| 1.320 | 71.47 | 17.3 |
| 1.290 | 73.37 | 16.0 |

Cell and atoms:
Lattice parameters (Å, degrees): 4.596 9.622 4.443 90.00 90.00 90.00
Element x y z (fractional)
Li 0.000 0.091 0.250
Li 0.000 0.259 0.750
Li 0.000 0.741 0.250
Li 0.000 0.909 0.750
Li 0.500 0.241 0.250
Li 0.500 0.409 0.750
Li 0.500 0.591 0.250
Li 0.500 0.759 0.750
Al 0.000 0.423 0.250
Al 0.000 0.577 0.750
Al 0.500 0.077 0.750
Al 0.500 0.923 0.250



Entry 7:
Calculated powder XRD pattern
Compound: Sc2B4Ru5
Radiation: copper Kα
Structure: a cell relaxed with PBE

The 12 most intense peaks (10 to 90 degrees two-theta), low angle first:
| d/Å | 2theta | I/Imax |
| --- | --- | --- |
| 3.010 | 29.68 | 91.4 |
| 2.737 | 32.72 | 55.3 |
| 2.643 | 33.92 | 70.8 |
| 2.525 | 35.55 | 42.0 |
| 2.421 | 37.13 | 48.3 |
| 2.390 | 37.64 | 49.6 |
| 2.172 | 41.58 | 67.8 |
| 2.025 | 44.75 | 97.9 |
| 1.986 | 45.68 | 100.0 |
| 1.935 | 46.97 | 55.9 |
| 1.319 | 71.56 | 29.3 |
| 1.246 | 76.45 | 36.6 |

Cell and atoms:
Lattice parameters (Å, degrees): 8.532 3.010 10.100 90.00 90.05 90.00
Element x y z (fractional)
Sc 0.157 0.000 0.181
Sc 0.343 0.000 0.680
Sc 0.657 0.000 0.320
Sc 0.843 0.000 0.819
B 0.035 0.000 0.590
B 0.148 0.000 0.900
B 0.352 0.000 0.399
B 0.466 0.000 0.090
B 0.534 0.000 0.910
B 0.648 0.000 0.601
B 0.852 0.000 0.100
B 0.965 0.000 0.410
Ru 0.000 0.500 0.000
Ru 0.096 0.500 0.739
Ru 0.160 0.500 0.452
Ru 0.341 0.500 0.953
Ru 0.404 0.500 0.238
Ru 0.500 0.500 0.500
Ru 0.596 0.500 0.762
Ru 0.659 0.500 0.047
Ru 0.840 0.500 0.548
Ru 0.904 0.500 0.261



Entry 8:
Calculated powder XRD pattern
Compound: Cs2DyAuCl6
Radiation: copper Kα
Structure: a cell relaxed with PBE

The 12 most intense peaks (10 to 90 degrees two-theta), low angle first:
| d/Å | 2theta | I/Imax |
| --- | --- | --- |
| 5.434 | 16.31 | 11.3 |
| 3.843 | 23.15 | 100.0 |
| 2.717 | 32.96 | 48.3 |
| 2.219 | 40.67 | 47.0 |
| 1.921 | 47.31 | 33.7 |
| 1.719 | 53.31 | 21.9 |
| 1.569 | 58.87 | 11.5 |
| 1.452 | 64.12 | 25.4 |
| 1.281 | 74.00 | 12.6 |
| 1.215 | 78.75 | 14.8 |
| 1.159 | 83.42 | 6.3 |
| 1.109 | 88.05 | 11.6 |

Cell and atoms:
Lattice parameters (Å, degrees): 7.686 7.686 7.686 60.00 60.00 60.00
Element x y z (fractional)
Cs 0.250 0.250 0.250
Cs 0.750 0.750 0.750
Dy 0.000 0.000 0.000
Au 0.500 0.500 0.500
Cl 0.243 0.243 0.757
Cl 0.243 0.757 0.243
Cl 0.243 0.757 0.757
Cl 0.757 0.243 0.243
Cl 0.757 0.243 0.757
Cl 0.757 0.757 0.243